1.
Sm3ErHg: calculated X-ray powder pattern (Cu Kα (λ = 1.5418 Å)), based on a cell relaxed with GGA-PBE.

Atomic structure:
Cell: 11.348 7.513 8.002 Å, 90.00 111.01 90.00°
Space group C2/m (No. 12)
One atom of each set of equivalent atoms:
Sm 0.056 0.000 0.236 [4 per cell]
Sm 0.161 0.252 0.644 [8 per cell]
Er 0.061 0.500 0.242 [4 per cell]
Hg 0.239 0.500 0.001 [4 per cell]

Largest 10 diffraction maxima, in order of rising 2θ, 10 to 90 degrees two-theta:
- hkl 0 2 1, 26.56°, I 26
- hkl 4 0 -1, 31.54°, I 33
- hkl 2 2 -2, 33.82°, I 100
- hkl 2 0 2, 33.97°, I 20
- hkl 4 2 0, 41.70°, I 18
- hkl 0 4 0, 48.48°, I 13
- hkl 0 2 4, 54.91°, I 13
- hkl 6 2 -3, 57.56°, I 13
- hkl 4 4 -1, 58.98°, I 11
- hkl 4 2 -5, 64.59°, I 8

2.
Sm6Er2Hg: calculated X-ray powder pattern (Cu Kα (λ = 1.5418 Å)), based on a cell relaxed with GGA-PBE.

Atomic structure:
Cell: 17.709 9.717 3.511 Å, 90.00 101.39 90.00°
Space group C2/m (No. 12)
One atom of each set of equivalent atoms:
Sm 0.000 0.209 0.000 [4 per cell]
Sm 0.167 0.318 0.667 [8 per cell]
Er 0.162 0.000 0.160 [4 per cell]
Hg 0.000 0.500 0.500 [2 per cell]

Largest 10 diffraction maxima, in order of rising 2θ, 10 to 90 degrees two-theta:
- hkl 1 1 -1, 27.00°, I 51
- hkl 6 0 0, 30.91°, I 51
- hkl 3 3 0, 31.66°, I 80
- hkl 2 2 1, 35.14°, I 100
- hkl 7 1 -1, 41.50°, I 32
- hkl 1 5 -1, 53.92°, I 19
- hkl 9 3 0, 55.45°, I 17
- hkl 10 2 -1, 57.74°, I 24
- hkl 1 3 2, 62.26°, I 23
- hkl 5 5 1, 63.46°, I 24